Theoretical powder diffractogram
Compound: NiRh2O4
Radiation: a wavelength of 1.5418 Å
Structure: a cell relaxed with GGA+U
Intensities are scaled so that the largest is 100.

Crystal structure
```
data_NiRh2O4
_chemical_formula_sum 'Ni2 Rh4 O8'
_symmetry_space_group_name_H-M 'P 1'
_symmetry_Int_Tables_number 1
_cell_length_a 6.0636
_cell_length_b 6.0636
_cell_length_c 6.0636
_cell_angle_alpha 118.80
_cell_angle_beta 118.80
_cell_angle_gamma 92.08
loop_
_symmetry_equiv_pos_as_xyz
'x,y,z'
loop_
_atom_site_label
_atom_site_fract_x
_atom_site_fract_y
_atom_site_fract_z
Ni1 0.0000 0.0000 0.0000
Ni2 0.7500 0.2500 0.5000
Rh1 0.3791 0.6304 0.7487
Rh2 0.3804 0.1316 0.7513
Rh3 0.3804 0.6291 0.2487
Rh4 0.8816 0.6304 0.2513
O1 0.1357 0.4077 0.2720
O2 0.1357 0.8638 0.7280
O3 0.1567 0.8775 0.2792
O4 0.1577 0.3857 0.7720
O5 0.5983 0.8775 0.7208
O6 0.6138 0.3857 0.2280
O7 0.6275 0.4067 0.7792
O8 0.6275 0.8483 0.2208
```

Most intense lines, 2θ = 5–70°, in order of falling intensity:
| 2θ (°) | Rel. int. |
| --- | --- |
| 34.18 | 100 |
| 17.82 | 52 |
| 35.13 | 51 |
| 61.18 | 43 |
| 36.09 | 43 |
| 54.71 | 32 |